# 1
# Pu3Re3Si8
Calculated powder X-ray diffraction pattern, Cu Kα (weighted mean of Kα1 and Kα2). Input: a GGA-PBE-relaxed structure.

```
data_Pu3Re3Si8
_chemical_formula_sum 'Pu6 Re6 Si16'
_cell_length_a 4.147
_cell_length_b 9.691
_cell_length_c 11.522
_cell_angle_alpha 90.00
_cell_angle_beta 90.00
_cell_angle_gamma 90.00
_symmetry_space_group_name_H-M 'I m m m'
_symmetry_Int_Tables_number 71
_symmetry_space_group_name_Hall '-I 2 2'
loop_
_atom_site_label
_atom_site_fract_x
_atom_site_fract_y
_atom_site_fract_z
Pu1 0.000 0.000 0.000
Pu2 0.000 0.000 0.314
Re1 0.000 0.217 0.500
Re2 0.000 0.500 0.000
Si1 0.000 0.281 0.127
Si2 0.000 0.371 0.335
```

Largest 10 diffraction maxima, in order of rising 2θ, 2θ = 10–90°:
| two_theta | I_rel |
| --- | --- |
| 11.93 | 15.3 |
| 15.38 | 20.9 |
| 18.31 | 15.7 |
| 23.33 | 23.4 |
| 29.39 | 28.1 |
| 36.34 | 19.0 |
| 36.90 | 100.0 |
| 37.11 | 18.7 |
| 38.63 | 15.6 |
| 43.65 | 21.5 |


# 2
# In3CuAg3O8
Calculated powder X-ray diffraction pattern, Cu Kα (weighted mean of Kα1 and Kα2). Input: a GGA-PBE-relaxed structure.

```
data_In3CuAg3O8
_chemical_formula_sum 'In3 Cu1 Ag3 O8'
_cell_length_a 6.377
_cell_length_b 6.604
_cell_length_c 6.929
_cell_angle_alpha 64.37
_cell_angle_beta 73.94
_cell_angle_gamma 61.60
_symmetry_space_group_name_H-M 'P -1'
_symmetry_Int_Tables_number 2
_symmetry_space_group_name_Hall '-P 1'
loop_
_atom_site_label
_atom_site_fract_x
_atom_site_fract_y
_atom_site_fract_z
In1 0.000 0.000 0.000
In2 0.000 0.500 0.000
In3 0.500 0.000 0.000
Cu1 0.500 0.500 0.000
Ag1 0.000 0.000 0.500
Ag2 0.500 0.000 0.500
Ag3 0.500 0.500 0.500
O1 0.146 0.101 0.182
O2 0.193 0.592 0.144
O3 0.318 0.995 0.792
O4 0.381 0.412 0.836
```

Largest 10 diffraction maxima, in order of rising 2θ, 2θ = 10–90°:
| two_theta | I_rel |
| --- | --- |
| 14.23 | 19.5 |
| 17.41 | 18.7 |
| 28.69 | 76.4 |
| 32.04 | 61.1 |
| 33.00 | 78.8 |
| 35.25 | 100.0 |
| 35.40 | 38.9 |
| 41.46 | 30.9 |
| 45.54 | 34.2 |
| 52.00 | 18.7 |


# 3
# RbYGeO4
Calculated powder X-ray diffraction pattern, Cu Kα (weighted mean of Kα1 and Kα2). Input: a GGA-PBE-relaxed structure.

```
data_RbYGeO4
_chemical_formula_sum 'Rb2 Y2 Ge2 O8'
_cell_length_a 5.782
_cell_length_b 5.935
_cell_length_c 7.736
_cell_angle_alpha 90.00
_cell_angle_beta 107.95
_cell_angle_gamma 90.00
_symmetry_space_group_name_H-M 'P 1 21/m 1'
_symmetry_Int_Tables_number 11
_symmetry_space_group_name_Hall '-P 2yb'
loop_
_atom_site_label
_atom_site_fract_x
_atom_site_fract_y
_atom_site_fract_z
Rb1 0.190 0.250 0.432
Y1 0.298 0.250 0.962
Ge1 0.242 0.750 0.156
O1 0.032 0.750 0.935
O2 0.051 0.750 0.295
O3 0.456 0.524 0.173
```

Largest 10 diffraction maxima, in order of rising 2θ, 2θ = 10–90°:
| two_theta | I_rel |
| --- | --- |
| 12.03 | 90.9 |
| 22.03 | 45.9 |
| 22.98 | 65.5 |
| 28.54 | 89.5 |
| 28.91 | 79.2 |
| 30.12 | 100.0 |
| 34.58 | 49.8 |
| 36.59 | 55.1 |
| 37.46 | 47.5 |
| 44.94 | 45.2 |


# 4
# Cr2Te2I
Calculated powder X-ray diffraction pattern, Cu Kα (weighted mean of Kα1 and Kα2). Input: a GGA-PBE-relaxed structure.

```
data_Cr2Te2I
_chemical_formula_sum 'Cr4 Te4 I2'
_cell_length_a 3.585
_cell_length_b 3.585
_cell_length_c 19.892
_cell_angle_alpha 90.00
_cell_angle_beta 90.00
_cell_angle_gamma 90.00
_symmetry_space_group_name_H-M 'I 4/m m m'
_symmetry_Int_Tables_number 139
_symmetry_space_group_name_Hall '-I 4 2'
loop_
_atom_site_label
_atom_site_fract_x
_atom_site_fract_y
_atom_site_fract_z
Cr1 0.000 0.500 0.250
Te1 0.000 0.000 0.153
I1 0.000 0.000 0.500
```

Largest 10 diffraction maxima, in order of rising 2θ, 2θ = 10–90°:
| two_theta | I_rel |
| --- | --- |
| 26.89 | 11.5 |
| 28.30 | 100.0 |
| 35.41 | 14.5 |
| 36.58 | 8.1 |
| 39.92 | 8.5 |
| 45.02 | 41.7 |
| 48.38 | 15.7 |
| 50.95 | 16.4 |
| 59.30 | 24.3 |
| 72.89 | 9.2 |


# 5
# RbGe2Pt4
Calculated powder X-ray diffraction pattern, Cu Kα (weighted mean of Kα1 and Kα2). Input: a GGA-PBE-relaxed structure.

```
data_RbGe2Pt4
_chemical_formula_sum 'Rb2 Ge4 Pt8'
_cell_length_a 8.085
_cell_length_b 8.085
_cell_length_c 3.993
_cell_angle_alpha 90.00
_cell_angle_beta 90.00
_cell_angle_gamma 90.00
_symmetry_space_group_name_H-M 'P 42/m n m'
_symmetry_Int_Tables_number 136
_symmetry_space_group_name_Hall '-P 4n 2n'
loop_
_atom_site_label
_atom_site_fract_x
_atom_site_fract_y
_atom_site_fract_z
Rb1 0.000 0.000 0.000
Ge1 0.227 0.227 0.500
Pt1 0.086 0.660 0.500
```

Largest 10 diffraction maxima, in order of rising 2θ, 2θ = 10–90°:
| two_theta | I_rel |
| --- | --- |
| 15.50 | 81.7 |
| 33.43 | 90.3 |
| 35.10 | 57.2 |
| 38.74 | 100.0 |
| 41.96 | 95.6 |
| 45.43 | 41.2 |
| 46.30 | 39.3 |
| 58.67 | 26.3 |
| 61.91 | 28.4 |
| 66.88 | 26.4 |


# 6
# Li8Mg3Ag4
Calculated powder X-ray diffraction pattern, Cu Kα (weighted mean of Kα1 and Kα2). Input: a GGA-PBE-relaxed structure.

```
data_Li8Mg3Ag4
_chemical_formula_sum 'Li64 Mg24 Ag32'
_cell_length_a 12.917
_cell_length_b 12.917
_cell_length_c 12.917
_cell_angle_alpha 90.00
_cell_angle_beta 90.00
_cell_angle_gamma 90.00
_symmetry_space_group_name_H-M 'F m -3 m'
_symmetry_Int_Tables_number 225
_symmetry_space_group_name_Hall '-F 4 2 3'
loop_
_atom_site_label
_atom_site_fract_x
_atom_site_fract_y
_atom_site_fract_z
Li1 0.120 0.120 0.120
Li2 0.157 0.157 0.343
Mg1 0.000 0.000 0.283
Ag1 0.000 0.000 0.000
Ag2 0.000 0.000 0.500
Ag3 0.000 0.250 0.250
```

Largest 10 diffraction maxima, in order of rising 2θ, 2θ = 10–90°:
| two_theta | I_rel |
| --- | --- |
| 23.86 | 100.0 |
| 27.62 | 86.1 |
| 39.46 | 81.0 |
| 46.64 | 53.0 |
| 48.85 | 22.0 |
| 62.70 | 21.3 |
| 64.53 | 26.9 |
| 71.57 | 22.2 |
| 76.66 | 17.1 |
| 89.85 | 19.3 |


# 7
# Cd5Ag7
Calculated powder X-ray diffraction pattern, Cu Kα (weighted mean of Kα1 and Kα2). Input: a GGA-PBE-relaxed structure.

```
data_Cd5Ag7
_chemical_formula_sum 'Cd10 Ag14'
_cell_length_a 13.010
_cell_length_b 4.282
_cell_length_c 9.329
_cell_angle_alpha 90.00
_cell_angle_beta 117.74
_cell_angle_gamma 90.00
_symmetry_space_group_name_H-M 'C 1 2/m 1'
_symmetry_Int_Tables_number 12
_symmetry_space_group_name_Hall '-C 2y'
loop_
_atom_site_label
_atom_site_fract_x
_atom_site_fract_y
_atom_site_fract_z
Cd1 0.000 0.000 0.000
Cd2 0.160 0.000 0.496
Cd3 0.246 0.500 0.757
Ag1 0.000 0.500 0.500
Ag2 0.083 0.500 0.250
Ag3 0.084 0.000 0.753
Ag4 0.164 0.500 0.998
```

Largest 10 diffraction maxima, in order of rising 2θ, 2θ = 10–90°:
| two_theta | I_rel |
| --- | --- |
| 36.65 | 100.0 |
| 41.65 | 17.1 |
| 42.21 | 16.7 |
| 43.86 | 14.8 |
| 60.80 | 10.6 |
| 62.08 | 9.8 |
| 72.74 | 12.0 |
| 73.52 | 12.0 |
| 75.85 | 10.8 |
| 77.94 | 10.1 |


# 8
# LaTh5Pt6
Calculated powder X-ray diffraction pattern, Cu Kα (weighted mean of Kα1 and Kα2). Input: a GGA-PBE-relaxed structure.

```
data_LaTh5Pt6
_chemical_formula_sum 'La2 Th10 Pt12'
_cell_length_a 7.289
_cell_length_b 12.631
_cell_length_c 7.273
_cell_angle_alpha 90.00
_cell_angle_beta 109.39
_cell_angle_gamma 90.00
_symmetry_space_group_name_H-M 'C 1 2/m 1'
_symmetry_Int_Tables_number 12
_symmetry_space_group_name_Hall '-C 2y'
loop_
_atom_site_label
_atom_site_fract_x
_atom_site_fract_y
_atom_site_fract_z
La1 0.000 0.000 0.000
Th1 0.000 0.167 0.500
Th2 0.000 0.333 0.000
Th3 0.000 0.500 0.500
Pt1 0.245 0.500 0.254
Pt2 0.246 0.331 0.747
```

Largest 10 diffraction maxima, in order of rising 2θ, 2θ = 10–90°:
| two_theta | I_rel |
| --- | --- |
| 30.04 | 100.0 |
| 43.00 | 76.6 |
| 53.32 | 20.6 |
| 53.42 | 6.8 |
| 62.40 | 8.6 |
| 62.53 | 4.3 |
| 70.79 | 23.8 |
| 70.91 | 11.8 |
| 78.76 | 15.6 |
| 78.87 | 8.9 |